# NbAlCo2H
Calculated XRD peak list, a wavelength of 1.5418 Å. Input: DFT lattice parameters and positions (GGA-PBE).
Kinematic intensities with the Lorentz-polarization factor, no thermal factor.

Structure:
Unit cell a=3.7980 b=3.7980 c=3.8543 alpha=90.00 beta=90.00 gamma=90.00
Space group P4/mmm (No. 123)
One atom of each set of equivalent atoms:
1 Nb 0.0000 0.0000 0.0000
2 Al 0.5000 0.5000 0.0000
3 Co 0.0000 0.5000 0.5000
4 H 0.0000 0.0000 0.5000

Main lines, sorted by position (10° ≤ 2θ ≤ 90°):
h k l	2θ (°)	I/Imax
1 0 0	23.42	18.3
1 1 1	40.96	100.0
0 0 2	47.16	16.7
2 0 0	47.90	31.8
2 0 2	69.49	19.5
3 1 1	84.49	22.2